# 1
This entry pairs a crystal structure of SmZnCo2 with its simulated powder diffraction line list. Radiation: Cu Kα, 1.54184 Å. Structure: a DFT-relaxed cell (PBE, the Materials Project).
No peak broadening, texture or thermal motion is included.

```
data_SmZnCo2
_space_group_name_H-M_alt 'P 63/m m c'
_space_group_IT_number 194
_space_group_name_Hall '-P 6c 2c'
_cell_length_a 5.1546
_cell_length_b 5.1546
_cell_length_c 16.6578
_cell_angle_alpha 90.00
_cell_angle_beta 90.00
_cell_angle_gamma 120.00
loop_
_atom_site_label
_atom_site_type_symbol
_atom_site_fract_x
_atom_site_fract_y
_atom_site_fract_z
Sm1 Sm 0.3333 0.6667 0.0437
Sm2 Sm 0.3333 0.6667 0.2500
Zn1 Zn 0.0000 0.0000 0.0000
Zn2 Zn 0.0000 0.0000 0.2500
Zn3 Zn 0.3333 0.6667 0.7500
Co1 Co 0.1676 0.3352 0.6274
```

Main lines, in order of rising 2θ (2θ = 5–70°):
index, 2θ/deg, d_spacing, I (rel.)
1 0 5, 33.56, 2.670, 74
1 1 0, 34.81, 2.577, 60
2 0 1, 40.79, 2.212, 36
1 1 4, 41.19, 2.192, 100
2 0 3, 43.71, 2.071, 25
1 1 6, 48.19, 1.888, 16
2 1 5, 61.62, 1.505, 25
2 0 9, 65.52, 1.425, 15
3 0 4, 66.76, 1.401, 23
1 1 10, 66.88, 1.399, 14


# 2
This entry pairs a crystal structure of Sm2ZrCo16 with its simulated powder diffraction line list. Radiation: Cu Kα, 1.54184 Å. Structure: a DFT-relaxed cell (PBE, the Materials Project).
No peak broadening, texture or thermal motion is included.

```
data_Sm2ZrCo16
_space_group_name_H-M_alt 'C 1 2/m 1'
_space_group_IT_number 12
_space_group_name_Hall '-C 2y'
_cell_length_a 14.525
_cell_length_b 8.388
_cell_length_c 8.194
_cell_angle_alpha 90.00
_cell_angle_beta 90.04
_cell_angle_gamma 90.00
loop_
_atom_site_label
_atom_site_type_symbol
_atom_site_fract_x
_atom_site_fract_y
_atom_site_fract_z
Sm1 Sm 0.000 0.000 0.247
Sm2 Sm 0.167 0.500 0.235
Zr1 Zr 0.167 0.500 0.614
Co1 Co 0.000 0.500 0.000
Co2 Co 0.000 0.500 0.500
Co3 Co 0.020 0.348 0.752
Co4 Co 0.081 0.243 0.477
Co5 Co 0.084 0.251 0.015
Co6 Co 0.162 0.000 0.523
Co7 Co 0.164 0.204 0.752
Co8 Co 0.167 0.000 0.985
Co9 Co 0.167 0.500 0.906
Co10 Co 0.184 0.144 0.248
Co11 Co 0.250 0.250 0.000
Co12 Co 0.250 0.250 0.500
```

Main lines, in order of rising 2θ (2θ = 5–70°):
index, 2θ/deg, d_spacing, I (rel.)
3 1 2, 30.50, 2.931, 33
6 0 0, 37.13, 2.421, 46
2 2 -3, 41.36, 2.183, 39
6 2 0, 43.14, 2.097, 65
3 3 2, 43.41, 2.084, 100
0 0 4, 44.21, 2.049, 30
5 1 3, 46.92, 1.936, 16
6 2 2, 48.79, 1.867, 23
9 1 2, 62.87, 1.478, 13
0 4 4, 63.49, 1.465, 14


# 3
This entry pairs a crystal structure of Co2Sn with its simulated powder diffraction line list. Radiation: Cu Kα, 1.54184 Å. Structure: a DFT-relaxed cell (PBE, the Materials Project).
No peak broadening, texture or thermal motion is included.

```
data_Co2Sn
_space_group_name_H-M_alt 'P 63/m m c'
_space_group_IT_number 194
_space_group_name_Hall '-P 6c 2c'
_cell_length_a 4.2727
_cell_length_b 4.2727
_cell_length_c 5.2339
_cell_angle_alpha 90.00
_cell_angle_beta 90.00
_cell_angle_gamma 120.00
loop_
_atom_site_label
_atom_site_type_symbol
_atom_site_fract_x
_atom_site_fract_y
_atom_site_fract_z
Co1 Co 0.0000 0.0000 0.0000
Co2 Co 0.3333 0.6667 0.2500
Sn1 Sn 0.3333 0.6667 0.7500
```

Main lines, in order of rising 2θ (2θ = 5–70°):
index, 2θ/deg, d_spacing, I (rel.)
1 0 0, 24.05, 3.700, 3
1 0 1, 29.57, 3.021, 13
0 0 2, 34.27, 2.617, 8
1 1 0, 42.30, 2.136, 100
2 0 0, 49.25, 1.850, 1
2 0 1, 52.46, 1.744, 3
1 1 2, 55.53, 1.655, 13
1 0 3, 58.49, 1.578, 2
2 0 2, 61.37, 1.511, 14
2 1 1, 69.58, 1.351, 3


# 4
This entry pairs a crystal structure of Tb3Co8Sn4 with its simulated powder diffraction line list. Radiation: Cu Kα, 1.54184 Å. Structure: a DFT-relaxed cell (PBE, the Materials Project).
No peak broadening, texture or thermal motion is included.

```
data_Tb3Co8Sn4
_space_group_name_H-M_alt 'P 63 m c'
_space_group_IT_number 186
_space_group_name_Hall 'P 6c -2c'
_cell_length_a 8.8530
_cell_length_b 8.8530
_cell_length_c 7.5551
_cell_angle_alpha 90.00
_cell_angle_beta 90.00
_cell_angle_gamma 120.00
loop_
_atom_site_label
_atom_site_type_symbol
_atom_site_fract_x
_atom_site_fract_y
_atom_site_fract_z
Tb1 Tb 0.0490 0.5245 0.0000
Co1 Co 0.0000 0.0000 0.2141
Co2 Co 0.0978 0.1957 0.9703
Co3 Co 0.1593 0.3185 0.6590
Co4 Co 0.3333 0.6667 0.3400
Sn1 Sn 0.1709 0.3419 0.2880
Sn2 Sn 0.3333 0.6667 0.6897
```

Main lines, in order of rising 2θ (2θ = 5–70°):
index, 2θ/deg, d_spacing, I (rel.)
2 0 1, 26.07, 3.419, 20
2 1 1, 33.11, 2.706, 28
2 0 2, 33.30, 2.691, 100
3 0 1, 37.14, 2.421, 33
1 0 3, 37.59, 2.393, 27
2 1 2, 39.18, 2.299, 24
2 2 0, 40.77, 2.213, 88
2 0 3, 42.97, 2.105, 26
3 2 3, 64.64, 1.442, 29
4 2 2, 69.48, 1.353, 15


# 5
This entry pairs a crystal structure of ThCoSn with its simulated powder diffraction line list. Radiation: Cu Kα, 1.54184 Å. Structure: a DFT-relaxed cell (PBE, the Materials Project).
No peak broadening, texture or thermal motion is included.

```
data_ThCoSn
_space_group_name_H-M_alt 'P -6 2 m'
_space_group_IT_number 189
_space_group_name_Hall 'P -6 -2'
_cell_length_a 7.3684
_cell_length_b 7.3684
_cell_length_c 4.0699
_cell_angle_alpha 90.00
_cell_angle_beta 90.00
_cell_angle_gamma 120.00
loop_
_atom_site_label
_atom_site_type_symbol
_atom_site_fract_x
_atom_site_fract_y
_atom_site_fract_z
Th1 Th 0.0000 0.5868 0.0000
Co1 Co 0.0000 0.0000 0.0000
Co2 Co 0.3333 0.6667 0.5000
Sn1 Sn 0.0000 0.2492 0.5000
```

Main lines, in order of rising 2θ (2θ = 5–70°):
index, 2θ/deg, d_spacing, I (rel.)
1 1 0, 24.16, 3.684, 17
1 1 1, 32.79, 2.731, 100
2 0 1, 35.76, 2.511, 73
2 1 0, 37.28, 2.412, 49
3 0 0, 42.50, 2.127, 15
0 0 2, 44.52, 2.035, 22
3 1 0, 51.65, 1.770, 17
3 1 1, 56.72, 1.623, 32
2 1 2, 59.43, 1.555, 26
3 2 1, 68.06, 1.378, 21


# 6
This entry pairs a crystal structure of ThCo2Sn2 with its simulated powder diffraction line list. Radiation: Cu Kα, 1.54184 Å. Structure: a DFT-relaxed cell (PBE, the Materials Project).
No peak broadening, texture or thermal motion is included.

```
data_ThCo2Sn2
_space_group_name_H-M_alt 'P 4/n m m'
_space_group_IT_number 129
_cell_length_a 4.460
_cell_length_b 4.460
_cell_length_c 9.982
_cell_angle_alpha 90.00
_cell_angle_beta 90.00
_cell_angle_gamma 90.00
loop_
_space_group_symop_operation_xyz
'x,y,z'
'-x,-y,-z'
'-y+1/2,x,z'
'y+1/2,-x,-z'
'-x+1/2,-y+1/2,z'
'x+1/2,y+1/2,-z'
'y,-x+1/2,z'
'-y,x+1/2,-z'
'x+1/2,-y,-z'
'-x+1/2,y,z'
'-y,-x,-z'
'y,x,z'
'-x,y+1/2,-z'
'x,-y+1/2,z'
'y+1/2,x+1/2,-z'
'-y+1/2,-x+1/2,z'
loop_
_atom_site_label
_atom_site_type_symbol
_atom_site_fract_x
_atom_site_fract_y
_atom_site_fract_z
Th1 Th 0.250 0.250 0.233
Co1 Co 0.250 0.250 0.627
Co2 Co 0.250 0.750 0.000
Sn1 Sn 0.250 0.250 0.874
Sn2 Sn 0.250 0.750 0.500
```

Main lines, in order of rising 2θ (2θ = 5–70°):
index, 2θ/deg, d_spacing, I (rel.)
1 0 1, 21.83, 4.072, 8
1 1 0, 28.30, 3.154, 14
1 1 2, 33.61, 2.666, 100
2 0 0, 40.45, 2.230, 38
1 0 5, 50.06, 1.822, 13
2 1 3, 53.57, 1.711, 22
2 2 0, 58.54, 1.577, 13
1 1 6, 63.19, 1.471, 8
2 1 5, 66.24, 1.411, 14
3 1 2, 69.22, 1.357, 20


# 7
This entry pairs a crystal structure of Tm3Co8Sn4 with its simulated powder diffraction line list. Radiation: Cu Kα, 1.54184 Å. Structure: a DFT-relaxed cell (PBE, the Materials Project).
No peak broadening, texture or thermal motion is included.

```
data_Tm3Co8Sn4
_space_group_name_H-M_alt 'P 63 m c'
_space_group_IT_number 186
_space_group_name_Hall 'P 6c -2c'
_cell_length_a 8.7748
_cell_length_b 8.7748
_cell_length_c 7.5182
_cell_angle_alpha 90.00
_cell_angle_beta 90.00
_cell_angle_gamma 120.00
loop_
_atom_site_label
_atom_site_type_symbol
_atom_site_fract_x
_atom_site_fract_y
_atom_site_fract_z
Tm1 Tm 0.0494 0.5247 0.0000
Co1 Co 0.0000 0.0000 0.2881
Co2 Co 0.0999 0.1998 0.0303
Co3 Co 0.1611 0.3221 0.3444
Co4 Co 0.3333 0.6667 0.6555
Sn1 Sn 0.1713 0.3425 0.7127
Sn2 Sn 0.3333 0.6667 0.3054
```

Main lines, in order of rising 2θ (2θ = 5–70°):
index, 2θ/deg, d_spacing, I (rel.)
2 0 1, 26.28, 3.391, 19
2 1 1, 33.40, 2.683, 28
2 0 2, 33.53, 2.672, 100
3 0 1, 37.47, 2.400, 35
1 0 3, 37.80, 2.380, 25
2 1 2, 39.48, 2.282, 25
2 2 0, 41.15, 2.194, 86
2 0 3, 43.25, 2.092, 27
4 0 2, 54.05, 1.697, 21
3 2 3, 65.19, 1.431, 28


# 8
This entry pairs a crystal structure of TmCo2Sn with its simulated powder diffraction line list. Radiation: Cu Kα, 1.54184 Å. Structure: a DFT-relaxed cell (PBE, the Materials Project).
No peak broadening, texture or thermal motion is included.

```
data_TmCo2Sn
_space_group_name_H-M_alt 'F m -3 m'
_space_group_IT_number 225
_space_group_name_Hall '-F 4 2 3'
_cell_length_a 6.380
_cell_length_b 6.380
_cell_length_c 6.380
_cell_angle_alpha 90.00
_cell_angle_beta 90.00
_cell_angle_gamma 90.00
loop_
_atom_site_label
_atom_site_type_symbol
_atom_site_fract_x
_atom_site_fract_y
_atom_site_fract_z
Tm1 Tm 0.000 0.000 0.000
Co1 Co 0.250 0.250 0.250
Sn1 Sn 0.000 0.000 0.500
```

Main lines, in order of rising 2θ (2θ = 5–70°):
index, 2θ/deg, d_spacing, I (rel.)
1 1 1, 24.16, 3.683, 3
2 0 0, 27.97, 3.190, 20
2 2 0, 39.97, 2.256, 100
3 1 1, 47.25, 1.924, 1
2 2 2, 49.49, 1.842, 6
4 0 0, 57.81, 1.595, 17
3 3 1, 63.57, 1.464, 1
4 2 0, 65.42, 1.427, 9